Calculated X-ray powder pattern of K2Ge2Se5 for Cu Kα, 1.54184 Å, from a structure optimized by DFT (PBE).
Lines closer than 0.1° are merged.

Structural model:
```
data_K2Ge2Se5
_symmetry_space_group_name_H-M 'P 1'
_symmetry_Int_Tables_number 1
_cell_length_a 10.075
_cell_length_b 11.913
_cell_length_c 10.434
_cell_angle_alpha 90.00
_cell_angle_beta 90.15
_cell_angle_gamma 90.00
loop_
_symmetry_equiv_pos_as_xyz
'x,y,z'
loop_
_atom_site_label
_atom_site_type_symbol
_atom_site_fract_x
_atom_site_fract_y
_atom_site_fract_z
K1 K 0.041 0.250 0.419
K2 K 0.362 0.007 0.666
K3 K 0.362 0.493 0.666
K4 K 0.406 0.250 0.107
K5 K 0.594 0.750 0.893
K6 K 0.638 0.507 0.334
K7 K 0.638 0.993 0.334
K8 K 0.959 0.750 0.581
Ge1 Ge 0.089 0.250 0.821
Ge2 Ge 0.201 0.750 0.946
Ge3 Ge 0.233 0.588 0.263
Ge4 Ge 0.233 0.912 0.263
Ge5 Ge 0.767 0.088 0.737
Ge6 Ge 0.767 0.412 0.737
Ge7 Ge 0.799 0.250 0.054
Ge8 Ge 0.911 0.750 0.179
Se1 Se 0.005 0.085 0.711
Se2 Se 0.005 0.415 0.711
Se3 Se 0.036 0.250 0.044
Se4 Se 0.265 0.750 0.733
Se5 Se 0.296 0.583 0.041
Se6 Se 0.296 0.917 0.041
Se7 Se 0.316 0.074 0.356
Se8 Se 0.316 0.250 0.800
Se9 Se 0.316 0.426 0.356
Se10 Se 0.325 0.750 0.373
Se11 Se 0.675 0.250 0.627
Se12 Se 0.684 0.574 0.644
Se13 Se 0.684 0.750 0.200
Se14 Se 0.684 0.926 0.644
Se15 Se 0.704 0.083 0.959
Se16 Se 0.704 0.417 0.959
Se17 Se 0.735 0.250 0.267
Se18 Se 0.964 0.750 0.956
Se19 Se 0.995 0.585 0.289
Se20 Se 0.995 0.915 0.289
```

Most intense lines, 10° ≤ 2θ ≤ 90°, by angle:
hkl 0 1 1, 2θ 11.27, 7.849 Å, rel. 39; hkl 1 2 1, 2θ 19.29, 4.601 Å, rel. 58; hkl 1 3 1, 2θ 25.59, 3.480 Å, rel. 100; hkl 3 0 0, 2θ 26.54, 3.358 Å, rel. 52; hkl 3 1 0, 2θ 27.60, 3.232 Å, rel. 37; hkl 1 1 -3, 2θ 28.14, 3.172 Å, rel. 34; hkl 1 4 1, 2θ 32.51, 2.754 Å, rel. 34; hkl 4 3 1, 2θ 43.44, 2.083 Å, rel. 49